1.
Simulated powder diffraction line list of KCuPdBr2 for Cu Kα (weighted mean of Kα1 and Kα2), from a crystal structure in Alexandria, relaxed with PBE.
Neutral-atom scattering factors, no anomalous dispersion.

Peak list (12 most intense, 10 to 80 degrees two-theta, sorted by position)
h k l	d [Å]	intensity
0 0 1	5.791	14
1 0 1	3.779	56
1 1 1	3.012	100
0 0 2	2.896	55
2 0 0	2.493	72
2 1 1	2.081	22
2 0 2	1.889	61
2 2 0	1.763	24
1 1 3	1.693	17
3 1 1	1.521	24
2 2 2	1.506	28
2 0 4	1.252	15

Atomic structure:
Cell lengths 4.986, 4.986, 5.791 Å; angles 90.00, 90.00, 90.00 degrees
Space group P4/mmm (No. 123)
Unique sites:
K: 0.000 0.000 0.000 (multiplicity 1)
Cu: 0.000 0.000 0.500 (multiplicity 1)
Pd: 0.500 0.500 0.000 (multiplicity 1)
Br: 0.000 0.500 0.500 (multiplicity 2)



2.
Simulated powder diffraction line list of K3Cu2PdBr9 for Cu Kα (weighted mean of Kα1 and Kα2), from a crystal structure in Alexandria, relaxed with PBE.
Neutral-atom scattering factors, no anomalous dispersion.

Peak list (12 most intense, 10 to 80 degrees two-theta, sorted by position)
h k l	d [Å]	intensity
1 0 1	5.197	65
1 1 0	3.675	7
0 2 1	3.004	47
0 0 3	2.989	15
2 0 2	2.598	100
2 1 1	2.328	17
1 1 3	2.320	16
2 2 0	1.841	35
0 2 4	1.834	34
4 0 1	1.568	19
0 4 2	1.502	17
4 0 4	1.299	11

Atomic structure:
Cell lengths 7.3644, 7.3644, 8.9656 Å; angles 90.00, 90.00, 120.00 degrees
Space group P-3m1 (No. 164)
Unique sites:
K: 0.0000 0.0000 0.0000 (multiplicity 1)
K: 0.3333 0.6667 0.6734 (multiplicity 2)
Cu: 0.3333 0.6667 0.1608 (multiplicity 2)
Pd: 0.0000 0.0000 0.5000 (multiplicity 1)
Br: 0.0000 0.5000 0.0000 (multiplicity 3)
Br: 0.1671 0.3343 0.3337 (multiplicity 6)



3.
Simulated powder diffraction line list of KCuPdBr6 for Cu Kα (weighted mean of Kα1 and Kα2), from a crystal structure in Alexandria, relaxed with PBE.
Neutral-atom scattering factors, no anomalous dispersion.

Peak list (12 most intense, 10 to 80 degrees two-theta, sorted by position)
h k l	d [Å]	intensity
0 0 1	7.311	75
1 1 0	5.876	26
1 1 -1	4.580	47
1 3 -1	3.077	100
2 0 2	2.487	83
3 1 1	2.125	21
1 3 3	1.979	30
3 3 0	1.959	34
2 2 3	1.876	12
1 3 4	1.609	16
3 5 1	1.591	16
2 6 2	1.539	12

Atomic structure:
Cell lengths 6.780, 11.761, 7.311 Å; angles 90.00, 90.07, 90.00 degrees
Space group C2 (No. 5)
Unique sites:
K: 0.000 0.000 0.000 (multiplicity 2)
Cu: 0.000 0.334 0.500 (multiplicity 2)
Pd: 0.000 0.667 0.500 (multiplicity 2)
Br: 0.124 0.504 0.300 (multiplicity 4)
Br: 0.183 0.810 0.300 (multiplicity 4)
Br: 0.194 0.186 0.300 (multiplicity 4)



4.
Simulated powder diffraction line list of KPrCuBr6 for Cu Kα (weighted mean of Kα1 and Kα2), from a crystal structure in Alexandria, relaxed with PBE.
Neutral-atom scattering factors, no anomalous dispersion.

Peak list (12 most intense, 10 to 80 degrees two-theta, sorted by position)
h k l	d [Å]	intensity
0 0 1	7.437	100
0 1 0	6.426	31
0 1 -1	5.113	29
-1 1 1	4.598	42
1 1 -1	3.589	87
-2 1 1	3.215	34
-1 2 1	3.094	66
2 -1 1	3.084	46
1 1 -2	2.842	48
-1 2 2	2.481	33
2 -1 2	2.472	32
-2 1 3	2.071	33

Atomic structure:
Cell lengths 7.006, 7.022, 7.488 Å; angles 93.54, 93.78, 113.01 degrees
Space group P1 (No. 1)
Unique sites:
K: 0.000 0.000 0.000 (multiplicity 1)
Pr: 0.335 0.668 0.501 (multiplicity 1)
Cu: 0.691 0.314 0.499 (multiplicity 1)
Br: 0.011 0.337 0.676 (multiplicity 1)
Br: 0.014 0.609 0.227 (multiplicity 1)
Br: 0.394 0.983 0.778 (multiplicity 1)
Br: 0.424 0.343 0.286 (multiplicity 1)
Br: 0.660 0.576 0.714 (multiplicity 1)
Br: 0.663 0.993 0.324 (multiplicity 1)



5.
Simulated powder diffraction line list of K2CuSbBr6 for Cu Kα (weighted mean of Kα1 and Kα2), from a crystal structure in Alexandria, relaxed with PBE.
Neutral-atom scattering factors, no anomalous dispersion.

Peak list (12 most intense, 10 to 80 degrees two-theta, sorted by position)
h k l	d [Å]	intensity
2 0 0	5.465	72
2 2 0	3.864	11
2 2 2	3.155	50
4 0 0	2.732	100
4 2 0	2.444	37
4 4 0	1.932	69
6 0 0	1.822	19
6 2 2	1.648	20
4 4 4	1.578	23
8 0 0	1.366	11
6 4 4	1.325	10
8 4 0	1.222	29

Atomic structure:
Cell lengths 10.929, 10.929, 10.929 Å; angles 90.00, 90.00, 90.00 degrees
Space group Fm-3m (No. 225)
Unique sites:
K: 0.250 0.250 0.250 (multiplicity 8)
Cu: 0.000 0.000 0.000 (multiplicity 4)
Sb: 0.000 0.000 0.500 (multiplicity 4)
Br: 0.000 0.000 0.242 (multiplicity 24)



6.
Simulated powder diffraction line list of K2CuSeBr6 for Cu Kα (weighted mean of Kα1 and Kα2), from a crystal structure in Alexandria, relaxed with PBE.
Neutral-atom scattering factors, no anomalous dispersion.

Peak list (12 most intense, 10 to 80 degrees two-theta, sorted by position)
h k l	d [Å]	intensity
0 0 2	5.536	36
2 0 0	5.345	58
2 2 2	3.121	100
0 0 4	2.768	47
0 4 0	2.678	51
4 0 0	2.667	50
4 2 0	2.390	15
0 4 4	1.925	31
4 0 4	1.921	31
4 4 0	1.890	35
4 4 4	1.561	31
4 0 8	1.229	14

Atomic structure:
Cell lengths 10.669, 10.711, 11.073 Å; angles 90.00, 90.00, 90.00 degrees
Space group Fmmm (No. 69)
Unique sites:
K: 0.250 0.250 0.250 (multiplicity 8)
Cu: 0.000 0.000 0.000 (multiplicity 4)
Se: 0.000 0.000 0.500 (multiplicity 4)
Br: 0.000 0.000 0.216 (multiplicity 8)
Br: 0.000 0.245 0.500 (multiplicity 8)
Br: 0.246 0.000 0.500 (multiplicity 8)